For Sc2PaH8, a cell relaxed with GGA-PBE gives the calculated powder diffractogram in this record (CuKα).
Peak positions follow from Bragg's law for the DFT cell and can differ from measured ones.

Peak list (6 most intense, 15 to 90 degrees two-theta, by angle)
d (Å), two_theta, I/Imax
5.208, 17.03, 594
4.628, 19.18, 1000
2.882, 31.04, 940
2.828, 31.64, 896
2.422, 37.12, 571
1.767, 51.74, 474

Cell and atoms:
```
Sc2PaH8
1.0
-1.690 2.583 5.208
1.690 -2.583 5.208
1.690 2.583 -5.208
Sc Pa H
2 1 8
direct
0.170 0.170 0.000
0.830 0.830 0.000
0.500 0.500 0.000
0.064 0.332 0.732
0.205 0.000 0.205
0.350 0.850 0.500
0.400 0.668 0.732
0.600 0.332 0.268
0.650 0.150 0.500
0.795 0.000 0.795
0.936 0.668 0.268
```


For PaHSe4, a cell relaxed with GGA-PBE gives the calculated powder diffractogram in this record (CuKα).
Peak positions follow from Bragg's law for the DFT cell and can differ from measured ones.

Peak list (6 most intense, 15 to 90 degrees two-theta, by angle)
d (Å), two_theta, I/Imax
5.384, 16.46, 1000
4.668, 19.01, 360
3.538, 25.17, 337
2.883, 31.02, 378
2.692, 33.28, 349
2.414, 37.25, 342

Cell and atoms:
```
PaHSe4
1.0
5.407 0.000 0.000
0.000 9.336 0.000
-0.700 0.000 7.651
Pa H Se
2 2 8
direct
0.014 0.250 0.148
0.986 0.750 0.852
0.302 0.250 0.552
0.698 0.750 0.448
0.008 0.560 0.145
0.008 0.940 0.145
0.026 0.250 0.520
0.479 0.750 0.816
0.521 0.250 0.184
0.974 0.750 0.480
0.992 0.060 0.855
0.992 0.440 0.855
```


For Pa3H2Se3, a cell relaxed with GGA-PBE gives the calculated powder diffractogram in this record (CuKα).
Peak positions follow from Bragg's law for the DFT cell and can differ from measured ones.

Peak list (6 most intense, 15 to 90 degrees two-theta, by angle)
d (Å), two_theta, I/Imax
3.673, 24.23, 394
3.548, 25.10, 668
2.900, 30.84, 1000
2.691, 33.29, 415
2.643, 33.92, 903
2.550, 35.20, 448

Cell and atoms:
```
Pa3H2Se3
1.0
1.954 -5.382 0.000
1.954 5.382 0.000
0.000 0.000 14.170
Pa H Se
6 4 6
direct
0.142 0.858 0.551
0.142 0.858 0.949
0.156 0.844 0.250
0.844 0.156 0.750
0.858 0.142 0.051
0.858 0.142 0.449
0.261 0.739 0.091
0.261 0.739 0.409
0.739 0.261 0.591
0.739 0.261 0.909
0.136 0.864 0.750
0.429 0.571 0.604
0.429 0.571 0.896
0.571 0.429 0.104
0.571 0.429 0.396
0.864 0.136 0.250
```